[1]
# Tb6Sm3Y
Theoretical powder X-ray diffraction pattern, Cu Kα X-rays. Input: a DFT-relaxed cell (PBE, Alexandria).

Peak list (8 most intense, 2θ from 15° to 90°, low angle first)
2theta, d [Å], Rel. int.
28.8, 3.103, 38
30.5, 2.934, 34
31.2, 2.869, 83
31.3, 2.858, 100
31.9, 2.806, 49
33.9, 2.646, 52
55.2, 1.665, 39
65.0, 1.434, 36

Atomic structure:
```
10
Lattice="5.7767 -3.3151 0.0000 5.7767 3.3151 0.0000 -3.9483 0.0000 8.8020" Properties=species:S:1:pos:R:3 pbc="T T T"
Tb 2.8720 1.6810 1.6797
Tb -0.0690 0.0000 3.7230
Tb 4.7331 1.6810 7.1223
Tb 2.8720 -1.6810 1.6797
Tb 7.6740 0.0000 5.0790
Tb 4.7331 -1.6810 7.1223
Sm 1.8147 0.0000 7.0688
Sm 3.8025 0.0000 4.4010
Sm 5.7904 0.0000 1.7332
Y 0.0000 0.0000 0.0000
```

***

[2]
# Tb7Sm2Y2
Theoretical powder X-ray diffraction pattern, Cu Kα X-rays. Input: a DFT-relaxed cell (PBE, Alexandria).

Peak list (8 most intense, 2θ from 15° to 90°, low angle first)
2theta, d [Å], Rel. int.
25.4, 3.502, 29
30.7, 2.909, 31
31.2, 2.863, 49
31.6, 2.833, 27
31.9, 2.810, 100
33.7, 2.660, 36
33.8, 2.649, 30
45.0, 2.014, 18

Atomic structure:
```
11
Lattice="5.6828 -5.7267 0.0000 5.6828 5.7267 0.0000 -2.4094 0.0000 5.5757" Properties=species:S:1:pos:R:3 pbc="T T T"
Tb 0.0000 0.0000 0.0000
Tb 1.6980 3.0401 4.6034
Tb 7.2582 3.0401 0.9723
Tb 4.2258 0.0000 1.0974
Tb 4.7304 0.0000 4.4782
Tb 1.6980 -3.0401 4.6034
Tb 7.2582 -3.0401 0.9723
Sm 1.2306 0.0000 3.2817
Sm 7.7256 0.0000 2.2940
Y 4.4781 3.2457 2.7878
Y 4.4781 -3.2457 2.7878
```

***

[3]
# Tb5Sm3Y4
Theoretical powder X-ray diffraction pattern, Cu Kα X-rays. Input: a DFT-relaxed cell (PBE, Alexandria).

Peak list (8 most intense, 2θ from 15° to 90°, low angle first)
2theta, d [Å], Rel. int.
30.6, 2.923, 100
35.5, 2.531, 51
51.0, 1.791, 24
51.1, 1.789, 12
60.6, 1.527, 32
60.7, 1.525, 11
63.7, 1.461, 9
83.2, 1.161, 12

Atomic structure:
```
12
Lattice="6.2016 0.0000 0.0000 -0.0172 7.1622 0.0000 -0.0098 -0.0063 8.7655" Properties=species:S:1:pos:R:3 pbc="T T T"
Tb 0.0000 0.0000 0.0000
Tb 2.0614 3.5807 2.9206
Tb 3.0851 1.7826 8.7616
Tb 3.0894 5.3733 0.0038
Tb 4.1131 3.5752 5.8449
Sm -0.0086 3.5811 0.0000
Sm 1.0253 1.7906 5.8478
Sm 5.1492 5.3653 2.9177
Y 1.0165 5.3679 5.8423
Y 2.0441 7.1572 2.9160
Y 4.1304 -0.0013 5.8495
Y 5.1581 1.7881 2.9232
```

***

[4]
# Tb12Sm2Y7
Theoretical powder X-ray diffraction pattern, Cu Kα X-rays. Input: a DFT-relaxed cell (PBE, Alexandria).

Peak list (8 most intense, 2θ from 15° to 90°, low angle first)
2theta, d [Å], Rel. int.
18.2, 4.880, 9
31.2, 2.864, 100
31.8, 2.817, 97
45.1, 2.008, 30
56.3, 1.635, 31
56.6, 1.627, 15
62.0, 1.498, 29
80.2, 1.197, 12

Atomic structure:
```
21
Lattice="14.9074 0.0000 0.0000 -7.4537 12.9102 0.0000 0.0000 0.0000 3.5370" Properties=species:S:1:pos:R:3 pbc="T T T"
Tb -1.1373 3.3206 0.0000
Tb -3.4622 9.2342 1.7685
Tb -4.0093 12.2348 0.0000
Tb 1.1877 5.2947 1.7685
Tb 5.0846 1.9161 1.7685
Tb 4.4193 5.0946 0.0000
Tb 2.2745 11.2914 1.7685
Tb 8.2857 1.2800 0.0000
Tb 6.5708 7.5488 1.7685
Tb 5.1466 10.2650 0.0000
Tb 10.7058 3.4453 1.7685
Tb 9.6561 6.5357 0.0000
Sm 0.0000 0.0000 1.7685
Sm 0.0000 8.6068 0.0000
Y -2.1099 6.2193 1.7685
Y 2.0716 2.3747 0.0000
Y -1.0127 11.6278 1.7685
Y 3.1226 7.9733 1.7685
Y 7.4537 4.3034 1.7685
Y 11.8151 0.6067 0.0000
Y 8.4745 9.9288 0.0000
```

***

[5]
# Tb7Sm4Y
Theoretical powder X-ray diffraction pattern, Cu Kα X-rays. Input: a DFT-relaxed cell (PBE, Alexandria).

Peak list (8 most intense, 2θ from 15° to 90°, low angle first)
2theta, d [Å], Rel. int.
30.2, 2.958, 33
31.0, 2.887, 36
31.4, 2.848, 100
31.9, 2.804, 65
32.4, 2.767, 32
32.5, 2.754, 21
34.5, 2.599, 14
64.1, 1.454, 15

Atomic structure:
```
12
Lattice="6.5535 0.0000 0.0000 0.9117 6.7901 0.0000 1.9925 0.3767 8.8742" Properties=species:S:1:pos:R:3 pbc="T T T"
Tb 0.0000 0.0000 0.0000
Tb 2.5642 4.2565 3.4174
Tb 3.5286 1.5965 5.6805
Tb 3.9770 5.0984 0.4596
Tb 5.4807 2.0683 8.4147
Tb 5.9291 5.5703 3.1937
Tb 6.8936 2.9102 5.4568
Sm 1.7545 0.8965 2.7412
Sm 4.4355 4.9770 6.3632
Sm 5.0223 2.1897 2.5111
Sm 7.7032 6.2703 6.1330
Y 0.4559 3.3950 0.0000
```

***

[6]
# Tb3SmY7
Theoretical powder X-ray diffraction pattern, Cu Kα X-rays. Input: a DFT-relaxed cell (PBE, Alexandria).

Peak list (8 most intense, 2θ from 15° to 90°, low angle first)
2theta, d [Å], Rel. int.
18.5, 4.794, 23
18.8, 4.722, 26
31.5, 2.840, 22
31.8, 2.814, 100
31.9, 2.803, 69
32.2, 2.782, 88
32.7, 2.740, 74
63.2, 1.471, 25

Atomic structure:
```
11
Lattice="6.9340 0.0000 0.0000 0.0000 5.5644 0.0000 -3.3725 0.0000 9.4434" Properties=species:S:1:pos:R:3 pbc="T T T"
Tb 0.0000 0.0000 0.0000
Tb -0.1599 2.7822 4.7432
Tb 3.7214 2.7822 4.7002
Sm 3.4670 0.0000 0.0000
Y -1.7078 0.0000 6.3225
Y -1.6574 2.7822 8.1314
Y 1.7353 2.7822 1.9978
Y 1.7808 0.0000 4.7217
Y 1.8262 2.7822 7.4456
Y 5.2189 2.7822 1.3121
Y 5.2694 0.0000 3.1210
```

***

[7]
# Tb8Sm3Y4
Theoretical powder X-ray diffraction pattern, Cu Kα X-rays. Input: a DFT-relaxed cell (PBE, Alexandria).

Peak list (8 most intense, 2θ from 15° to 90°, low angle first)
2theta, d [Å], Rel. int.
27.9, 3.196, 32
30.4, 2.936, 100
30.8, 2.900, 46
31.9, 2.805, 35
41.8, 2.162, 42
42.1, 2.148, 19
54.6, 1.681, 17
66.6, 1.404, 19

Atomic structure:
```
15
Lattice="6.7221 -6.3919 0.0000 6.7221 6.3919 0.0000 -3.4405 0.0000 5.8757" Properties=species:S:1:pos:R:3 pbc="T T T"
Tb 6.7221 4.5703 0.0000
Tb 1.4989 0.0000 2.6986
Tb -0.2622 0.0000 5.8078
Tb 5.0018 3.2559 2.9379
Tb 5.0018 -3.2559 2.9379
Tb 10.2659 0.0000 0.0679
Tb 8.5048 0.0000 3.1772
Tb 6.7221 -4.5703 0.0000
Sm -1.7203 0.0000 2.9379
Sm 1.6408 3.1959 2.9379
Sm 1.6408 -3.1959 2.9379
Y 3.3610 3.1959 0.0000
Y 3.3610 -3.1959 0.0000
Y 6.7221 0.0000 0.0000
Y 5.0018 0.0000 2.9379
```

***

[8]
# Tb9Sm2Y3
Theoretical powder X-ray diffraction pattern, Cu Kα X-rays. Input: a DFT-relaxed cell (PBE, Alexandria).

Peak list (8 most intense, 2θ from 15° to 90°, low angle first)
2theta, d [Å], Rel. int.
31.6, 2.830, 100
31.8, 2.818, 94
32.1, 2.785, 25
32.4, 2.762, 40
32.9, 2.726, 67
33.1, 2.703, 33
45.8, 1.981, 19
56.5, 1.629, 24

Atomic structure:
```
14
Lattice="8.1408 -2.8174 0.0000 8.1408 2.8174 0.0000 -3.0486 0.0000 10.0002" Properties=species:S:1:pos:R:3 pbc="T T T"
Tb 0.0000 0.0000 0.0000
Tb -2.0708 0.0000 6.8836
Tb 1.1545 0.0000 5.4515
Tb 0.5995 0.0000 8.9926
Tb 6.8362 0.0000 8.7714
Tb 9.2672 0.0000 2.4306
Tb 9.9946 0.0000 7.4205
Tb 12.5230 0.0000 0.9430
Tb 15.2368 0.0000 3.0822
Sm 3.8639 0.0000 7.5146
Sm 6.3019 0.0000 1.1857
Y 3.1113 0.0000 2.5290
Y 6.5950 0.0000 4.9896
Y 11.9742 0.0000 4.5138
```

***

[9]
# Tb3Sm6Y2
Theoretical powder X-ray diffraction pattern, Cu Kα X-rays. Input: a DFT-relaxed cell (PBE, Alexandria).

Peak list (8 most intense, 2θ from 15° to 90°, low angle first)
2theta, d [Å], Rel. int.
30.4, 2.937, 100
35.3, 2.544, 51
50.7, 1.801, 18
50.8, 1.797, 18
60.3, 1.535, 32
60.4, 1.532, 11
63.3, 1.470, 9
82.6, 1.168, 9

Atomic structure:
```
11
Lattice="1.8006 1.0396 32.2387 -1.8006 1.0396 32.2387 0.0000 -2.0792 32.2387" Properties=species:S:1:pos:R:3 pbc="T T T"
Tb 0.0000 0.0000 0.0000
Tb 0.0000 0.0000 26.3896
Tb 0.0000 0.0000 70.3264
Sm 0.0000 0.0000 8.7731
Sm 0.0000 0.0000 17.6040
Sm 0.0000 0.0000 35.1644
Sm 0.0000 0.0000 61.5516
Sm 0.0000 0.0000 79.1121
Sm 0.0000 0.0000 87.9429
Y 0.0000 0.0000 43.9409
Y 0.0000 0.0000 52.7751
```

***

[10]
# Tb3Sm9Y2
Theoretical powder X-ray diffraction pattern, Cu Kα X-rays. Input: a DFT-relaxed cell (PBE, Alexandria).

Peak list (8 most intense, 2θ from 15° to 90°, low angle first)
2theta, d [Å], Rel. int.
25.7, 3.469, 30
29.9, 2.989, 38
30.9, 2.896, 66
32.9, 2.724, 100
34.3, 2.616, 21
36.0, 2.494, 28
53.6, 1.710, 45
60.4, 1.534, 17

Atomic structure:
```
28
Lattice="9.0479 0.0000 0.0000 -4.5240 7.8357 0.0000 0.0000 0.0000 13.8747" Properties=species:S:1:pos:R:3 pbc="T T T"
Tb -0.4041 1.9667 3.4687
Tb -2.6187 7.2024 3.4687
Tb 1.5012 1.3334 10.4060
Tb 3.0228 6.5024 3.4687
Tb 7.1426 0.6334 10.4060
Tb 4.9281 5.8690 10.4060
Sm -1.4263 3.7744 10.4060
Sm -2.0782 5.6693 7.5274
Sm -2.0782 5.6693 13.2847
Sm 0.6533 3.2013 7.5274
Sm 0.6533 3.2013 13.2847
Sm -0.5420 7.1837 10.4060
Sm 3.0991 1.0349 0.5900
Sm 3.0991 1.0349 6.3473
Sm 2.5556 3.1225 3.4687
Sm 1.9684 4.7133 10.4060
Sm 1.4249 6.8008 7.5274
Sm 1.4249 6.8008 13.2847
Sm 5.0660 0.6520 3.4687
Sm 3.8707 4.6344 0.5900
Sm 3.8707 4.6344 6.3473
Sm 6.6021 2.1664 0.5900
Sm 6.6021 2.1664 6.3473
Sm 5.9503 4.0613 3.4687
Y 0.0000 5.2238 1.9652
Y 0.0000 5.2238 4.9722
Y 4.5240 2.6119 8.9025
Y 4.5240 2.6119 11.9095
```

***

[11]
# Tb19Sm4Y6
Theoretical powder X-ray diffraction pattern, Cu Kα X-rays. Input: a DFT-relaxed cell (PBE, Alexandria).

Peak list (8 most intense, 2θ from 15° to 90°, low angle first)
2theta, d [Å], Rel. int.
26.7, 3.342, 34
28.6, 3.126, 56
30.3, 2.947, 100
33.6, 2.666, 19
35.2, 2.553, 35
36.6, 2.452, 55
53.9, 1.702, 25
60.1, 1.539, 24

Atomic structure:
```
29
Lattice="-6.2524 6.2524 6.2524 6.2524 -6.2524 6.2524 6.2524 6.2524 -6.2524" Properties=species:S:1:pos:R:3 pbc="T T T"
Tb 0.0000 0.0000 0.0000
Tb 3.2316 0.0000 0.0000
Tb 9.2731 0.0000 0.0000
Tb 5.4759 3.0014 -2.7666
Tb 9.0190 -0.7765 3.2509
Tb 3.0014 -2.7666 5.4759
Tb 0.0000 3.2316 0.0000
Tb 0.0000 0.0000 3.2316
Tb 3.4857 0.7765 3.2509
Tb 3.2509 3.4857 0.7765
Tb 7.0289 3.0014 2.7666
Tb 0.7765 3.2509 3.4857
Tb 3.2509 9.0190 -0.7765
Tb -2.7666 5.4759 3.0014
Tb 0.0000 9.2731 0.0000
Tb 0.0000 0.0000 9.2731
Tb 3.0014 2.7666 7.0289
Tb 2.7666 7.0289 3.0014
Tb -0.7765 3.2509 9.0190
Sm 2.2574 2.2574 -2.2574
Sm 2.2574 -2.2574 2.2574
Sm -2.2574 2.2574 2.2574
Sm 3.9950 3.9950 3.9950
Y 6.2524 1.5877 0.0000
Y 6.2524 0.0000 4.6647
Y 4.6647 6.2524 0.0000
Y 1.5877 0.0000 6.2524
Y 0.0000 6.2524 1.5877
Y 0.0000 4.6647 6.2524
```

***

[12]
# Tb5Sm3Y
Theoretical powder X-ray diffraction pattern, Cu Kα X-rays. Input: a DFT-relaxed cell (PBE, Alexandria).

Peak list (8 most intense, 2θ from 15° to 90°, low angle first)
2theta, d [Å], Rel. int.
30.6, 2.920, 35
31.0, 2.883, 60
31.2, 2.870, 100
31.3, 2.855, 52
31.7, 2.819, 19
32.6, 2.750, 26
35.3, 2.544, 16
55.6, 1.652, 18

Atomic structure:
```
18
Lattice="8.2305 -3.3678 0.0000 8.2305 3.3678 0.0000 -3.8196 0.0000 10.8224" Properties=species:S:1:pos:R:3 pbc="T T T"
Tb 1.5975 0.0190 0.4889
Tb -0.3123 -0.0190 5.9001
Tb 5.3658 2.1358 8.1168
Tb 2.9286 0.7922 6.8251
Tb 4.8384 -0.7922 1.4139
Tb 7.8030 0.7922 9.4085
Tb 9.7128 -0.7922 3.9973
Tb 7.2756 -2.1358 2.7056
Tb 12.9537 0.0190 4.9223
Tb 11.0439 -0.0190 10.3334
Sm 0.6460 0.8120 9.2851
Sm 2.5557 -0.8120 3.8739
Sm 8.2305 0.0000 0.0000
Sm 6.3207 0.0000 5.4112
Sm 10.0857 0.8120 6.9485
Sm 11.9955 -0.8120 1.5373
Y 7.2756 1.5385 2.7056
Y 5.3658 -1.5385 8.1168
```